For Rb5Zr4F21, a cell relaxed with GGA-PBE gives the calculated X-ray diffraction stick pattern in this record (Cu Kα (λ = 1.5418 Å)).

Structure:
Cell: 8.0190 11.4371 11.7588 Å, 90.00 98.34 90.00°
Space group P2_1 (No. 4)
One atom of each set of equivalent atoms:
Rb (0.0265, 0.0000, 0.2411) x2
Rb (0.1628, 0.3364, 0.4011) x2
Rb (0.1980, 0.1523, 0.9548) x2
Rb (0.2828, 0.4899, 0.1083) x2
Rb (0.3237, 0.0374, 0.6086) x2
Zr (0.1695, 0.7087, 0.4075) x2
Zr (0.2159, 0.8129, 0.9089) x2
Zr (0.4658, 0.3552, 0.7747) x2
Zr (0.5003, 0.1739, 0.2706) x2
F (0.0012, 0.7223, 0.2642) x2
F (0.0036, 0.6251, 0.4898) x2
F (0.0531, 0.8899, 0.0066) x2
F (0.0549, 0.9097, 0.7938) x2
F (0.1043, 0.8670, 0.4662) x2
F (0.1087, 0.6557, 0.9407) x2
F (0.2340, 0.7378, 0.7422) x2
F (0.2665, 0.2221, 0.1866) x2
F (0.2767, 0.5669, 0.3444) x2
F (0.2991, 0.3806, 0.8845) x2
F (0.3269, 0.8178, 0.3189) x2
F (0.3345, 0.3120, 0.6216) x2
F (0.3416, 0.5192, 0.7049) x2
F (0.3451, 0.8039, 0.0831) x2
F (0.3489, 0.1101, 0.3813) x2
F (0.3550, 0.6924, 0.5487) x2
F (0.3783, 0.9462, 0.9002) x2
F (0.3862, 0.0090, 0.1784) x2
F (0.4328, 0.1812, 0.7978) x2
F (0.4500, 0.7039, 0.9030) x2
F (0.4834, 0.3453, 0.3123) x2

Largest 10 diffraction maxima, sorted by position, 2θ = 5–70°:
d/Å  I (rel.)
4.397  26
3.673  47
3.524  55
3.486  52
3.434  42
3.353  100
2.399  41
2.199  21
2.001  19
1.806  17

=====

For ReF3, a cell relaxed with GGA-PBE gives the calculated X-ray diffraction stick pattern in this record (Cu Kα (λ = 1.5418 Å)).

Structure:
Cell: 3.9304 3.9304 13.9518 Å, 90.00 90.00 90.00°
Space group I-42d (No. 122)
One atom of each set of equivalent atoms:
Re (0.0000, 0.0000, 0.0000) x4
F (0.0000, 0.0000, 0.5000) x4
F (0.1479, 0.2500, 0.1250) x8

Largest 10 diffraction maxima, sorted by position, 2θ = 5–70°:
d/Å  I (rel.)
3.783  100
3.488  33
3.002  36
2.582  97
2.275  18
1.965  17
1.783  32
1.744  27
1.712  34
1.644  20

=====

For Re2SnF, a cell relaxed with GGA-PBE gives the calculated X-ray diffraction stick pattern in this record (Cu Kα (λ = 1.5418 Å)).

Structure:
Cell: 7.1984 7.1984 4.9118 Å, 90.00 90.00 90.00°
Space group I-42d (No. 122)
One atom of each set of equivalent atoms:
Re (0.1842, 0.2500, 0.1250) x8
Sn (0.0000, 0.0000, 0.5000) x4
F (0.0000, 0.0000, 0.0000) x4

Largest 10 diffraction maxima, sorted by position, 2θ = 5–70°:
d/Å  I (rel.)
3.599  37
2.692  100
2.545  83
2.212  97
2.156  41
1.850  24
1.800  19
1.669  44
1.645  20
1.382  33

=====

For Sr2ReF8, a cell relaxed with GGA-PBE gives the calculated X-ray diffraction stick pattern in this record (Cu Kα (λ = 1.5418 Å)).

Structure:
Cell: 7.0591 7.0591 4.7277 Å, 90.00 90.00 120.00°
Space group P-3m1 (No. 164)
One atom of each set of equivalent atoms:
Sr (0.3333, 0.6667, 0.2462) x2
Re (0.0000, 0.0000, 0.5000) x1
F (0.1360, 0.2721, 0.2715) x6
F (0.3333, 0.6667, 0.7476) x2

Largest 10 diffraction maxima, sorted by position, 2θ = 5–70°:
d/Å  I (rel.)
6.113  39
3.740  92
3.530  100
2.828  25
2.567  20
2.205  24
2.076  42
1.870  36
1.765  21
1.653  38

=====

For TbReF, a cell relaxed with GGA-PBE gives the calculated X-ray diffraction stick pattern in this record (Cu Kα (λ = 1.5418 Å)).

Structure:
Cell: 3.1915 3.1915 9.4834 Å, 90.00 90.00 90.00°
Space group P4/nmm (No. 129, origin choice 2)
One atom of each set of equivalent atoms:
Tb (0.2500, 0.2500, 0.1972) x2
Re (0.2500, 0.2500, 0.5684) x2
F (0.2500, 0.2500, 0.9311) x2

Largest 10 diffraction maxima, sorted by position, 2θ = 5–70°:
d/Å  I (rel.)
9.483  90
3.161  26
2.648  98
2.257  84
2.246  100
1.837  22
1.596  28
1.452  20
1.416  16
1.367  27

=====

For ReTeF, a cell relaxed with GGA-PBE gives the calculated X-ray diffraction stick pattern in this record (Cu Kα (λ = 1.5418 Å)).

Structure:
Cell: 3.2133 3.2133 19.7729 Å, 90.00 90.00 120.00°
Space group R3m (No. 160, hexagonal axes)
One atom of each set of equivalent atoms:
Re (0.0000, 0.0000, 0.0000) x3
Te (0.0000, 0.0000, 0.4293) x3
F (0.0000, 0.0000, 0.9021) x3

Largest 10 diffraction maxima, sorted by position, 2θ = 5–70°:
d/Å  I (rel.)
6.591  100
2.756  11
2.679  91
2.425  31
2.276  45
2.197  17
1.982  40
1.607  24
1.561  14
1.378  11

=====

For TlReF6, a cell relaxed with GGA-PBE gives the calculated X-ray diffraction stick pattern in this record (Cu Kα (λ = 1.5418 Å)).

Structure:
Cell: 5.6431 5.6431 15.9130 Å, 90.00 90.00 120.00°
Space group R-3m (No. 166, hexagonal axes)
One atom of each set of equivalent atoms:
Tl (0.0000, 0.0000, 0.0000) x3
Re (0.0000, 0.0000, 0.5000) x3
F (0.0167, 0.5083, 0.0953) x18

Largest 10 diffraction maxima, sorted by position, 2θ = 5–70°:
d/Å  I (rel.)
4.164  100
3.085  56
2.822  31
2.336  29
2.082  10
1.932  31
1.842  11
1.799  19
1.675  20
1.388  11

=====

For TlReF6, a cell relaxed with GGA-PBE gives the calculated X-ray diffraction stick pattern in this record (Cu Kα (λ = 1.5418 Å)).

Structure:
Cell: 7.0668 7.8081 5.2934 Å, 90.00 101.66 90.00°
Space group C2/m (No. 12)
One atom of each set of equivalent atoms:
Tl (0.0000, 0.0000, 0.0000) x2
Re (0.0000, 0.5000, 0.5000) x2
F (0.0866, 0.3283, 0.7575) x8
F (0.2464, 0.0000, 0.5786) x4

Largest 10 diffraction maxima, sorted by position, 2θ = 5–70°:
d/Å  I (rel.)
3.977  100
3.904  47
3.460  35
3.415  68
2.590  36
2.268  17
2.194  28
2.159  27
2.147  26
1.569  19

=====

For RhF3, a cell relaxed with GGA-PBE gives the calculated X-ray diffraction stick pattern in this record (Cu Kα (λ = 1.5418 Å)).

Structure:
Cell: 5.1926 5.1926 7.2197 Å, 90.00 90.00 120.00°
Space group P321 (No. 150)
One atom of each set of equivalent atoms:
Rh (0.0000, 0.0000, 0.0000) x1
Rh (0.3333, 0.6667, 0.6613) x2
F (0.0000, 0.3695, 0.5000) x3
F (0.0551, 0.7235, 0.8222) x6

Largest 10 diffraction maxima, sorted by position, 2θ = 5–70°:
d/Å  I (rel.)
3.817  100
2.815  31
2.596  17
2.147  11
1.909  17
1.765  28
1.675  7
1.654  15
1.538  12
1.499  10

=====

For RhF6, a cell relaxed with GGA-PBE gives the calculated X-ray diffraction stick pattern in this record (Cu Kα (λ = 1.5418 Å)).

Structure:
Cell: 9.6498 8.8416 5.1108 Å, 90.00 90.00 90.00°
Space group Pnma (No. 62)
One atom of each set of equivalent atoms:
Rh (0.1290, 0.2500, 0.0869) x4
F (0.0129, 0.2500, 0.7936) x4
F (0.0190, 0.1004, 0.2422) x8
F (0.2391, 0.1005, 0.9324) x8
F (0.2446, 0.2500, 0.3812) x4

Largest 10 diffraction maxima, sorted by position, 2θ = 5–70°:
d/Å  I (rel.)
4.516  42
4.422  89
4.235  100
4.022  66
3.508  16
3.159  29
2.515  16
2.257  27
2.000  29
1.474  18

=====

For RhF5, a cell relaxed with GGA-PBE gives the calculated X-ray diffraction stick pattern in this record (Cu Kα (λ = 1.5418 Å)).

Structure:
Cell: 9.7649 5.4331 7.2956 Å, 90.00 111.34 90.00°
Space group C2/c (No. 15)
One atom of each set of equivalent atoms:
Rh (0.0000, 0.0000, 0.0000) x4
F (0.0000, 0.1501, 0.2500) x4
F (0.0839, 0.2940, 0.9531) x8
F (0.1893, 0.1267, 0.6312) x8

Largest 10 diffraction maxima, sorted by position, 2θ = 5–70°:
d/Å  I (rel.)
4.664  100
4.548  46
3.398  22
3.373  20
3.028  31
2.647  14
2.511  12
2.344  12
2.116  11
1.725  10

=====

For SrRh2F8, a cell relaxed with GGA-PBE gives the calculated X-ray diffraction stick pattern in this record (Cu Kα (λ = 1.5418 Å)).

Structure:
Cell: 7.2392 7.2392 4.1316 Å, 90.00 90.00 120.00°
Space group P-3 (No. 147)
One atom of each set of equivalent atoms:
Sr (0.0000, 0.0000, 0.0000) x1
Rh (0.3333, 0.6667, 0.2707) x2
F (0.1719, 0.8261, 0.2702) x6
F (0.3333, 0.6667, 0.7707) x2

Largest 10 diffraction maxima, sorted by position, 2θ = 5–70°:
d/Å  I (rel.)
3.620  100
3.450  86
2.497  11
2.090  21
2.056  36
1.962  17
1.810  30
1.725  18
1.603  18
1.557  14